Record 1
# MgMn2V2Cu2O8
Calculated powder diffractogram, Cu Ka. Input: the GGA+U geometry in the Materials Project.
Intensities are scaled so that the largest is 100.

Main lines, in order of falling intensity (2θ = 5–70°):
2θ = 33.02°, intensity 100.0; 2θ = 31.71°, intensity 86.3; 2θ = 32.34°, intensity 83.0; 2θ = 34.19°, intensity 77.0; 2θ = 29.10°, intensity 61.6; 2θ = 35.06°, intensity 51.5; 2θ = 60.33°, intensity 43.7; 2θ = 28.73°, intensity 42.2; 2θ = 36.97°, intensity 42.0; 2θ = 55.65°, intensity 37.7; 2θ = 34.77°, intensity 34.5; 2θ = 59.50°, intensity 33.6

Atomic structure:
Unit cell a=5.564 b=5.683 c=6.223 alpha=91.15 beta=92.16 gamma=113.73
Sites, in units of the cell vectors:
1 Mg 0.000 0.000 0.000
2 Mn 0.466 0.940 0.737
3 Mn 0.477 0.962 0.267
4 V 0.129 0.307 0.506
5 V 0.855 0.500 0.957
6 Cu 0.378 0.479 0.001
7 Cu 0.784 0.648 0.467
8 O 0.213 0.737 0.997
9 O 0.233 0.181 0.266
10 O 0.244 0.201 0.762
11 O 0.276 0.660 0.489
12 O 0.729 0.152 0.004
13 O 0.736 0.662 0.170
14 O 0.771 0.175 0.519
15 O 0.778 0.699 0.762

Record 2
# MgMnV4CuO12
Calculated powder diffractogram, Cu Ka. Input: the GGA+U geometry in the Materials Project.
Intensities are scaled so that the largest is 100.

Main lines, in order of falling intensity (2θ = 5–70°):
2θ = 27.42°, intensity 100.0; 2θ = 28.45°, intensity 96.4; 2θ = 32.57°, intensity 93.2; 2θ = 29.43°, intensity 55.7; 2θ = 28.80°, intensity 41.6; 2θ = 19.96°, intensity 36.5; 2θ = 13.22°, intensity 35.3; 2θ = 34.75°, intensity 26.0; 2θ = 44.61°, intensity 25.1; 2θ = 13.66°, intensity 22.8; 2θ = 51.12°, intensity 22.7; 2θ = 54.36°, intensity 21.9

Atomic structure:
Unit cell a=5.910 b=6.770 c=7.026 alpha=80.36 beta=73.25 gamma=74.22
Sites, in units of the cell vectors:
1 Mg 0.000 0.000 0.000
2 Mn 0.969 0.645 0.367
3 V 0.434 0.935 0.657
4 V 0.478 0.332 0.092
5 V 0.931 0.119 0.478
6 V 0.980 0.529 0.900
7 Cu 0.487 0.800 0.183
8 O 0.025 0.952 0.293
9 O 0.112 0.054 0.661
10 O 0.287 0.372 0.929
11 O 0.368 0.534 0.242
12 O 0.375 0.851 0.907
13 O 0.473 0.095 0.223
14 O 0.559 0.748 0.501
15 O 0.629 0.111 0.614
16 O 0.807 0.305 0.976
17 O 0.881 0.732 0.068
18 O 0.926 0.355 0.363
19 O 0.975 0.623 0.661

Record 3
# MgMnV4CuO12
Calculated powder diffractogram, Cu Ka. Input: the GGA+U geometry in the Materials Project.
Intensities are scaled so that the largest is 100.

Main lines, in order of falling intensity (2θ = 5–70°):
2θ = 28.91°, intensity 100.0; 2θ = 27.98°, intensity 97.1; 2θ = 27.88°, intensity 88.1; 2θ = 32.80°, intensity 88.0; 2θ = 13.43°, intensity 41.7; 2θ = 53.03°, intensity 38.6; 2θ = 20.07°, intensity 34.1; 2θ = 23.59°, intensity 33.7; 2θ = 51.86°, intensity 22.6; 2θ = 51.06°, intensity 19.5; 2θ = 35.04°, intensity 19.2; 2θ = 62.68°, intensity 18.0

Atomic structure:
Unit cell a=5.882 b=6.921 c=6.926 alpha=79.44 beta=73.17 gamma=73.59
Sites, in units of the cell vectors:
1 Mg 0.000 0.000 0.000
2 Mn 0.482 0.208 0.810
3 V 0.021 0.886 0.540
4 V 0.457 0.666 0.943
5 V 0.527 0.070 0.348
6 V 0.962 0.462 0.137
7 Cu 0.988 0.376 0.653
8 O 0.026 0.650 0.648
9 O 0.081 0.278 0.948
10 O 0.136 0.676 0.066
11 O 0.328 0.901 0.407
12 O 0.411 0.917 0.837
13 O 0.427 0.248 0.510
14 O 0.572 0.493 0.770
15 O 0.578 0.163 0.096
16 O 0.654 0.619 0.103
17 O 0.845 0.945 0.346
18 O 0.898 0.048 0.731
19 O 0.985 0.358 0.374

Record 4
# MgMn2V2Cu2O8
Calculated powder diffractogram, Cu Ka. Input: the GGA+U geometry in the Materials Project.
Intensities are scaled so that the largest is 100.

Main lines, in order of falling intensity (2θ = 5–70°):
2θ = 33.20°, intensity 100.0; 2θ = 30.27°, intensity 71.4; 2θ = 33.33°, intensity 27.9; 2θ = 37.61°, intensity 22.6; 2θ = 29.98°, intensity 18.9; 2θ = 30.11°, intensity 18.1; 2θ = 28.13°, intensity 16.4; 2θ = 55.61°, intensity 16.4; 2θ = 56.22°, intensity 14.4; 2θ = 58.15°, intensity 13.6; 2θ = 65.30°, intensity 13.0; 2θ = 17.20°, intensity 13.0

Atomic structure:
Unit cell a=5.905 b=6.345 c=5.935 alpha=90.00 beta=119.55 gamma=90.00
Sites, in units of the cell vectors:
1 Mg 0.000 0.000 0.000
2 Mn 0.221 0.273 0.455
3 Mn 0.221 0.727 0.455
4 V 0.548 0.500 0.106
5 V 0.727 0.000 0.463
6 Cu 0.449 0.000 0.903
7 Cu 0.846 0.500 0.700
8 O 0.367 0.000 0.312
9 O 0.376 0.500 0.291
10 O 0.424 0.285 0.857
11 O 0.424 0.715 0.857
12 O 0.853 0.207 0.713
13 O 0.853 0.793 0.713
14 O 0.902 0.500 0.290
15 O 0.933 0.000 0.307

Record 5
# MgCu2Mo2O8
Calculated powder diffractogram, Cu Ka. Input: the GGA+U geometry in the Materials Project.
Intensities are scaled so that the largest is 100.

Main lines, in order of falling intensity (2θ = 5–70°):
2θ = 25.26°, intensity 100.0; 2θ = 30.72°, intensity 60.9; 2θ = 33.73°, intensity 51.2; 2θ = 33.17°, intensity 41.9; 2θ = 24.21°, intensity 37.6; 2θ = 15.02°, intensity 35.2; 2θ = 21.88°, intensity 33.0; 2θ = 34.22°, intensity 29.6; 2θ = 30.30°, intensity 29.4; 2θ = 53.07°, intensity 27.0; 2θ = 47.47°, intensity 26.4; 2θ = 32.70°, intensity 21.5

Atomic structure:
Unit cell a=5.352 b=5.593 c=6.030 alpha=98.86 beta=94.02 gamma=112.25
Sites, in units of the cell vectors:
1 Mg 0.000 0.000 0.000
2 Cu 0.378 0.007 0.356
3 Cu 0.507 0.172 0.866
4 Mo 0.099 0.509 0.720
5 Mo 0.627 0.584 0.408
6 O 0.293 0.817 0.936
7 O 0.345 0.348 0.678
8 O 0.370 0.278 0.201
9 O 0.370 0.729 0.487
10 O 0.812 0.783 0.222
11 O 0.833 0.350 0.445
12 O 0.865 0.748 0.693
13 O 0.902 0.288 0.901

Record 6
# MgCu2Mo2O8
Calculated powder diffractogram, Cu Ka. Input: the GGA+U geometry in the Materials Project.
Intensities are scaled so that the largest is 100.

Main lines, in order of falling intensity (2θ = 5–70°):
2θ = 28.98°, intensity 100.0; 2θ = 29.51°, intensity 80.4; 2θ = 29.23°, intensity 50.2; 2θ = 20.75°, intensity 44.6; 2θ = 28.48°, intensity 44.1; 2θ = 21.95°, intensity 41.8; 2θ = 27.69°, intensity 32.9; 2θ = 25.60°, intensity 32.5; 2θ = 32.20°, intensity 31.1; 2θ = 41.48°, intensity 22.0; 2θ = 25.76°, intensity 21.4; 2θ = 55.90°, intensity 19.4

Atomic structure:
Unit cell a=6.747 b=8.562 c=12.329 alpha=90.00 beta=91.19 gamma=90.00
Sites, in units of the cell vectors:
1 Mg 0.113 0.161 0.050
2 Mg 0.113 0.339 0.550
3 Mg 0.887 0.661 0.450
4 Mg 0.887 0.839 0.950
5 Cu 0.233 0.682 0.630
6 Cu 0.233 0.818 0.130
7 Cu 0.379 0.055 0.622
8 Cu 0.379 0.445 0.122
9 Cu 0.621 0.555 0.878
10 Cu 0.621 0.945 0.378
11 Cu 0.767 0.182 0.870
12 Cu 0.767 0.318 0.370
13 Mo 0.102 0.040 0.346
14 Mo 0.102 0.460 0.846
15 Mo 0.388 0.584 0.368
16 Mo 0.388 0.916 0.868
17 Mo 0.612 0.084 0.132
18 Mo 0.612 0.416 0.632
19 Mo 0.898 0.540 0.154
20 Mo 0.898 0.960 0.654
21 O 0.043 0.234 0.399
22 O 0.043 0.266 0.899
23 O 0.078 0.109 0.613
24 O 0.078 0.391 0.113
25 O 0.122 0.043 0.199
26 O 0.122 0.457 0.699
27 O 0.181 0.572 0.467
28 O 0.181 0.928 0.967
29 O 0.308 0.631 0.229
30 O 0.308 0.869 0.729
31 O 0.339 0.514 0.902
32 O 0.339 0.986 0.402
33 O 0.412 0.213 0.085
34 O 0.412 0.287 0.585
35 O 0.492 0.105 0.863
36 O 0.492 0.395 0.363
37 O 0.508 0.605 0.637
38 O 0.508 0.895 0.137
39 O 0.588 0.713 0.415
40 O 0.588 0.787 0.915
41 O 0.661 0.014 0.598
42 O 0.661 0.486 0.098
43 O 0.692 0.131 0.271
44 O 0.692 0.369 0.771
45 O 0.819 0.072 0.033
46 O 0.819 0.428 0.533
47 O 0.878 0.543 0.301
48 O 0.878 0.957 0.801
49 O 0.922 0.609 0.887
50 O 0.922 0.891 0.387
51 O 0.957 0.734 0.101
52 O 0.957 0.766 0.601

Record 7
# MgCu2Ni4O8
Calculated powder diffractogram, Cu Ka. Input: the GGA+U geometry in the Materials Project.
Intensities are scaled so that the largest is 100.

Main lines, in order of falling intensity (2θ = 5–70°):
2θ = 34.51°, intensity 100.0; 2θ = 35.58°, intensity 86.6; 2θ = 34.20°, intensity 68.3; 2θ = 36.16°, intensity 43.0; 2θ = 54.79°, intensity 40.4; 2θ = 46.67°, intensity 37.1; 2θ = 18.04°, intensity 36.5; 2θ = 43.60°, intensity 34.7; 2θ = 28.80°, intensity 26.8; 2θ = 61.79°, intensity 26.1; 2θ = 41.54°, intensity 26.0; 2θ = 59.66°, intensity 24.6

Atomic structure:
Unit cell a=6.013 b=6.013 c=6.013 alpha=119.03 beta=117.94 gamma=92.65
Sites, in units of the cell vectors:
1 Mg 0.000 0.000 0.000
2 Cu 0.613 0.113 0.500
3 Cu 0.699 0.699 0.000
4 Ni 0.181 0.443 0.738
5 Ni 0.232 0.496 0.264
6 Ni 0.232 0.968 0.736
7 Ni 0.704 0.443 0.262
8 O 0.394 0.190 0.204
9 O 0.401 0.696 0.705
10 O 0.475 0.256 0.782
11 O 0.475 0.693 0.218
12 O 0.909 0.195 0.285
13 O 0.909 0.624 0.715
14 O 0.986 0.190 0.796
15 O 0.991 0.696 0.295

Record 8
# MgCu2Ni4O8
Calculated powder diffractogram, Cu Ka. Input: the GGA+U geometry in the Materials Project.
Intensities are scaled so that the largest is 100.

Main lines, in order of falling intensity (2θ = 5–70°):
2θ = 33.75°, intensity 100.0; 2θ = 28.66°, intensity 67.5; 2θ = 59.35°, intensity 57.5; 2θ = 54.10°, intensity 52.6; 2θ = 50.78°, intensity 27.3; 2θ = 17.44°, intensity 21.5; 2θ = 40.98°, intensity 15.2; 2θ = 35.30°, intensity 10.1; 2θ = 44.85°, intensity 9.9; 2θ = 46.08°, intensity 7.5; 2θ = 67.22°, intensity 5.2; 2θ = 63.35°, intensity 5.1

Atomic structure:
Unit cell a=6.229 b=6.229 c=6.229 alpha=60.00 beta=60.00 gamma=60.00
Sites, in units of the cell vectors:
1 Mg 0.000 0.000 0.000
2 Cu 0.250 0.250 0.250
3 Cu 0.500 0.500 0.500
4 Ni 0.429 0.857 0.857
5 Ni 0.857 0.429 0.857
6 Ni 0.857 0.857 0.429
7 Ni 0.857 0.857 0.857
8 O 0.103 0.632 0.632
9 O 0.122 0.122 0.122
10 O 0.122 0.122 0.633
11 O 0.122 0.633 0.122
12 O 0.632 0.103 0.632
13 O 0.632 0.632 0.103
14 O 0.632 0.632 0.632
15 O 0.633 0.122 0.122